[1]
For DyUBr6, DFT lattice parameters and positions (PBE) gives the computed X-ray diffraction stick pattern in this record (a wavelength of 1.5418 Å).

```
data_DyUBr6
_space_group_name_H-M_alt 'P 1'
_space_group_IT_number 1
_space_group_name_Hall 'P 1'
_cell_length_a 7.0984
_cell_length_b 13.2845
_cell_length_c 7.0929
_cell_angle_alpha 90.00
_cell_angle_beta 106.92
_cell_angle_gamma 90.00
loop_
_atom_site_label
_atom_site_type_symbol
_atom_site_fract_x
_atom_site_fract_y
_atom_site_fract_z
_atom_site_occupancy
Dy1 Dy 0.0000 0.0000 0.0000 1
Dy2 Dy 0.5000 0.5000 0.0000 1
U1 U 0.0000 0.5000 0.5000 1
U2 U 0.5000 0.0000 0.5000 1
Br1 Br 0.2413 0.1463 0.2425 1
Br2 Br 0.2413 0.8537 0.2425 1
Br3 Br 0.2467 0.0000 0.7545 1
Br4 Br 0.2533 0.5000 0.2455 1
Br5 Br 0.2587 0.3537 0.7575 1
Br6 Br 0.2587 0.6463 0.7575 1
Br7 Br 0.7413 0.3537 0.2425 1
Br8 Br 0.7413 0.6463 0.2425 1
Br9 Br 0.7467 0.5000 0.7545 1
Br10 Br 0.7533 0.0000 0.2455 1
Br11 Br 0.7587 0.1463 0.7575 1
Br12 Br 0.7587 0.8537 0.7575 1
```

The 12 most intense peaks (2θ from 5° to 70°), in order of rising 2θ:
| Position (°2θ) | I/Imax |
| --- | --- |
| 13.33 | 91.9 |
| 16.92 | 89.0 |
| 22.08 | 33.3 |
| 29.22 | 100.0 |
| 29.55 | 25.1 |
| 31.38 | 43.9 |
| 34.23 | 19.4 |
| 37.90 | 34.7 |
| 40.09 | 20.3 |
| 43.39 | 33.8 |
| 43.42 | 33.7 |
| 51.78 | 19.3 |

[2]
For DyZn3Br9, DFT lattice parameters and positions (PBE) gives the computed X-ray diffraction stick pattern in this record (a wavelength of 1.5418 Å).

```
data_DyZn3Br9
_space_group_name_H-M_alt 'P 1'
_space_group_IT_number 1
_space_group_name_Hall 'P 1'
_cell_length_a 10.4454
_cell_length_b 10.4454
_cell_length_c 13.4308
_cell_angle_alpha 124.01
_cell_angle_beta 124.01
_cell_angle_gamma 53.58
loop_
_atom_site_label
_atom_site_type_symbol
_atom_site_fract_x
_atom_site_fract_y
_atom_site_fract_z
_atom_site_occupancy
Dy1 Dy 0.2283 0.7717 0.5000 1
Dy2 Dy 0.7717 0.2283 0.0000 1
Zn1 Zn 0.0220 0.2578 0.8267 1
Zn2 Zn 0.2578 0.0220 0.3267 1
Zn3 Zn 0.2826 0.4328 0.6646 1
Zn4 Zn 0.4328 0.2826 0.1646 1
Zn5 Zn 0.6566 0.8020 0.2111 1
Zn6 Zn 0.8020 0.6566 0.7111 1
Br1 Br 0.0808 0.2103 0.2024 1
Br2 Br 0.0897 0.9289 0.3243 1
Br3 Br 0.1667 0.4315 0.0253 1
Br4 Br 0.2103 0.0808 0.7024 1
Br5 Br 0.3018 0.6739 0.6918 1
Br6 Br 0.3827 0.4245 0.3687 1
Br7 Br 0.4245 0.3827 0.8687 1
Br8 Br 0.4315 0.1667 0.5253 1
Br9 Br 0.4596 0.7628 0.2247 1
Br10 Br 0.4992 0.9815 0.0814 1
Br11 Br 0.5300 0.7772 0.5554 1
Br12 Br 0.6739 0.3018 0.1918 1
Br13 Br 0.7628 0.4596 0.7247 1
Br14 Br 0.7772 0.5300 0.0554 1
Br15 Br 0.8432 0.8811 0.9193 1
Br16 Br 0.8811 0.8432 0.4193 1
Br17 Br 0.9289 0.0897 0.8243 1
Br18 Br 0.9815 0.4992 0.5814 1
```

The 12 most intense peaks (2θ from 5° to 70°), in order of rising 2θ:
| Position (°2θ) | I/Imax |
| --- | --- |
| 11.50 | 27.2 |
| 16.19 | 100.0 |
| 17.95 | 32.3 |
| 22.11 | 26.1 |
| 25.45 | 26.6 |
| 25.79 | 40.9 |
| 27.76 | 47.8 |
| 31.09 | 26.9 |
| 38.52 | 23.1 |
| 39.81 | 26.8 |
| 41.70 | 20.1 |
| 44.61 | 21.4 |

[3]
For ErBr3, DFT lattice parameters and positions (PBE) gives the computed X-ray diffraction stick pattern in this record (a wavelength of 1.5418 Å).

```
data_ErBr3
_space_group_name_H-M_alt 'P 1'
_space_group_IT_number 1
_space_group_name_Hall 'P 1'
_cell_length_a 3.7104
_cell_length_b 11.8158
_cell_length_c 7.2826
_cell_angle_alpha 90.00
_cell_angle_beta 90.00
_cell_angle_gamma 90.00
loop_
_atom_site_label
_atom_site_type_symbol
_atom_site_fract_x
_atom_site_fract_y
_atom_site_fract_z
_atom_site_occupancy
Er1 Er 0.0000 0.0000 0.0000 1
Er2 Er 0.5000 0.5000 0.5000 1
Br1 Br 0.0000 0.3460 0.6451 1
Br2 Br 0.0000 0.5000 0.2114 1
Br3 Br 0.0000 0.6540 0.6451 1
Br4 Br 0.5000 0.0000 0.7114 1
Br5 Br 0.5000 0.1540 0.1451 1
Br6 Br 0.5000 0.8460 0.1451 1
```

The 12 most intense peaks (2θ from 5° to 70°), in order of rising 2θ:
| Position (°2θ) | I/Imax |
| --- | --- |
| 14.29 | 100.0 |
| 15.00 | 38.8 |
| 24.45 | 14.8 |
| 25.71 | 28.0 |
| 31.00 | 49.6 |
| 33.17 | 18.8 |
| 35.36 | 45.5 |
| 40.97 | 35.1 |
| 41.64 | 18.0 |
| 43.81 | 19.7 |
| 44.61 | 11.8 |
| 66.03 | 15.5 |

[4]
For GdErBr, DFT lattice parameters and positions (PBE) gives the computed X-ray diffraction stick pattern in this record (a wavelength of 1.5418 Å).

```
data_GdErBr
_space_group_name_H-M_alt 'P 1'
_space_group_IT_number 1
_space_group_name_Hall 'P 1'
_cell_length_a 3.7174
_cell_length_b 3.7174
_cell_length_c 7.2690
_cell_angle_alpha 90.00
_cell_angle_beta 90.00
_cell_angle_gamma 120.00
loop_
_atom_site_label
_atom_site_type_symbol
_atom_site_fract_x
_atom_site_fract_y
_atom_site_fract_z
_atom_site_occupancy
Gd1 Gd 0.0000 0.0000 0.0000 1
Er1 Er 0.6667 0.3333 0.3628 1
Br1 Br 0.3333 0.6667 0.6757 1
```

The 12 most intense peaks (2θ from 5° to 70°), in order of rising 2θ:
| Position (°2θ) | I/Imax |
| --- | --- |
| 12.18 | 4.3 |
| 24.49 | 5.2 |
| 27.71 | 4.4 |
| 30.37 | 100.0 |
| 37.10 | 17.3 |
| 37.31 | 53.1 |
| 46.93 | 4.0 |
| 49.01 | 25.0 |
| 58.31 | 15.9 |
| 58.75 | 15.4 |
| 63.03 | 22.0 |
| 63.17 | 11.4 |

[5]
For ErI3Br, DFT lattice parameters and positions (PBE) gives the computed X-ray diffraction stick pattern in this record (a wavelength of 1.5418 Å).

```
data_ErI3Br
_space_group_name_H-M_alt 'P 1'
_space_group_IT_number 1
_space_group_name_Hall 'P 1'
_cell_length_a 8.6190
_cell_length_b 8.6190
_cell_length_c 8.6190
_cell_angle_alpha 82.62
_cell_angle_beta 129.56
_cell_angle_gamma 119.45
loop_
_atom_site_label
_atom_site_type_symbol
_atom_site_fract_x
_atom_site_fract_y
_atom_site_fract_z
_atom_site_occupancy
Er1 Er 0.2361 0.2500 0.4861 1
Er2 Er 0.7639 0.7500 0.5139 1
I1 I 0.2305 0.0139 0.2457 1
I2 I 0.2305 0.4848 0.7166 1
I3 I 0.2301 0.5118 0.2183 1
I4 I 0.2935 0.0118 0.7817 1
I5 I 0.7682 0.5139 0.2834 1
I6 I 0.7682 0.9848 0.7543 1
Br1 Br 0.7274 0.4903 0.7371 1
Br2 Br 0.7532 0.9903 0.2629 1
```

The 12 most intense peaks (2θ from 5° to 70°), in order of rising 2θ:
| Position (°2θ) | I/Imax |
| --- | --- |
| 13.86 | 56.8 |
| 20.44 | 18.3 |
| 24.67 | 44.4 |
| 24.78 | 43.8 |
| 27.55 | 73.9 |
| 27.93 | 29.3 |
| 31.91 | 100.0 |
| 41.57 | 24.9 |
| 42.46 | 23.9 |
| 42.65 | 83.4 |
| 50.60 | 26.5 |
| 66.71 | 27.8 |

[6]
For ErIn2Br5, DFT lattice parameters and positions (PBE) gives the computed X-ray diffraction stick pattern in this record (a wavelength of 1.5418 Å).

```
data_ErIn2Br5
_space_group_name_H-M_alt 'P 1'
_space_group_IT_number 1
_space_group_name_Hall 'P 1'
_cell_length_a 13.1959
_cell_length_b 8.8533
_cell_length_c 9.0403
_cell_angle_alpha 90.00
_cell_angle_beta 90.00
_cell_angle_gamma 90.00
loop_
_atom_site_label
_atom_site_type_symbol
_atom_site_fract_x
_atom_site_fract_y
_atom_site_fract_z
_atom_site_occupancy
Er1 Er 0.0067 0.2500 0.0755 1
Er2 Er 0.4933 0.7500 0.5755 1
Er3 Er 0.5067 0.2500 0.4245 1
Er4 Er 0.9933 0.7500 0.9245 1
In1 In 0.1658 0.0125 0.6141 1
In2 In 0.1658 0.4875 0.6141 1
In3 In 0.3342 0.5125 0.1141 1
In4 In 0.3342 0.9875 0.1141 1
In5 In 0.6658 0.0125 0.8859 1
In6 In 0.6658 0.4875 0.8859 1
In7 In 0.8342 0.5125 0.3859 1
In8 In 0.8342 0.9875 0.3859 1
Br1 Br 0.0032 0.2500 0.4029 1
Br2 Br 0.0536 0.5518 0.1684 1
Br3 Br 0.0536 0.9482 0.1684 1
Br4 Br 0.1996 0.2500 0.9435 1
Br5 Br 0.2014 0.7500 0.8665 1
Br6 Br 0.2986 0.2500 0.3665 1
Br7 Br 0.3004 0.7500 0.4435 1
Br8 Br 0.4464 0.0518 0.6684 1
Br9 Br 0.4464 0.4482 0.6684 1
Br10 Br 0.4968 0.7500 0.9029 1
Br11 Br 0.5032 0.2500 0.0971 1
Br12 Br 0.5536 0.5518 0.3316 1
Br13 Br 0.5536 0.9482 0.3316 1
Br14 Br 0.6996 0.2500 0.5565 1
Br15 Br 0.7014 0.7500 0.6335 1
Br16 Br 0.7986 0.2500 0.1335 1
Br17 Br 0.8004 0.7500 0.0565 1
Br18 Br 0.9464 0.0518 0.8316 1
Br19 Br 0.9464 0.4482 0.8316 1
Br20 Br 0.9968 0.7500 0.5971 1
```

The 12 most intense peaks (2θ from 5° to 70°), in order of rising 2θ:
| Position (°2θ) | I/Imax |
| --- | --- |
| 11.87 | 35.2 |
| 23.37 | 28.3 |
| 28.26 | 38.4 |
| 28.81 | 55.3 |
| 29.03 | 100.0 |
| 30.30 | 38.7 |
| 31.36 | 27.3 |
| 31.90 | 28.9 |
| 33.89 | 38.6 |
| 34.25 | 36.1 |
| 40.77 | 35.0 |
| 41.04 | 48.9 |

[7]
For ErInSnBr6, DFT lattice parameters and positions (PBE) gives the computed X-ray diffraction stick pattern in this record (a wavelength of 1.5418 Å).

```
data_ErInSnBr6
_space_group_name_H-M_alt 'P 1'
_space_group_IT_number 1
_space_group_name_Hall 'P 1'
_cell_length_a 7.5231
_cell_length_b 7.5231
_cell_length_c 7.1144
_cell_angle_alpha 90.00
_cell_angle_beta 90.00
_cell_angle_gamma 120.00
loop_
_atom_site_label
_atom_site_type_symbol
_atom_site_fract_x
_atom_site_fract_y
_atom_site_fract_z
_atom_site_occupancy
Er1 Er 0.0000 0.0000 0.0000 1
In1 In 0.3333 0.6667 0.5000 1
Sn1 Sn 0.6667 0.3333 0.0000 1
Br1 Br 0.3125 0.0198 0.2277 1
Br2 Br 0.3125 0.2927 0.7723 1
Br3 Br 0.7073 0.0198 0.7723 1
Br4 Br 0.7073 0.6875 0.2277 1
Br5 Br 0.9802 0.2927 0.2277 1
Br6 Br 0.9802 0.6875 0.7723 1
```

The 12 most intense peaks (2θ from 5° to 70°), in order of rising 2θ:
| Position (°2θ) | I/Imax |
| --- | --- |
| 12.44 | 26.7 |
| 13.59 | 13.6 |
| 18.47 | 86.5 |
| 26.81 | 87.9 |
| 30.17 | 21.6 |
| 34.71 | 100.0 |
| 38.69 | 33.2 |
| 41.58 | 50.4 |
| 45.20 | 24.0 |
| 52.23 | 15.4 |
| 55.25 | 23.4 |
| 68.15 | 19.7 |

[8]
For K3ErBr8, DFT lattice parameters and positions (PBE) gives the computed X-ray diffraction stick pattern in this record (a wavelength of 1.5418 Å).

```
data_K3ErBr8
_space_group_name_H-M_alt 'P 1'
_space_group_IT_number 1
_space_group_name_Hall 'P 1'
_cell_length_a 9.4619
_cell_length_b 9.4619
_cell_length_c 9.4619
_cell_angle_alpha 133.66
_cell_angle_beta 133.66
_cell_angle_gamma 67.62
loop_
_atom_site_label
_atom_site_type_symbol
_atom_site_fract_x
_atom_site_fract_y
_atom_site_fract_z
_atom_site_occupancy
K1 K 0.0000 0.0000 0.0000 1
K2 K 0.2500 0.7500 0.5000 1
K3 K 0.7500 0.2500 0.5000 1
Er1 Er 0.5000 0.5000 0.0000 1
Br1 Br 0.1621 0.1621 0.5478 1
Br2 Br 0.1621 0.6143 0.0000 1
Br3 Br 0.3857 0.3857 0.5478 1
Br4 Br 0.3857 0.8379 0.0000 1
Br5 Br 0.6143 0.1621 0.0000 1
Br6 Br 0.6143 0.6143 0.4522 1
Br7 Br 0.8379 0.3857 0.0000 1
Br8 Br 0.8379 0.8379 0.4522 1
```

The 12 most intense peaks (2θ from 5° to 70°), in order of rising 2θ:
| Position (°2θ) | I/Imax |
| --- | --- |
| 11.25 | 21.9 |
| 13.16 | 45.5 |
| 20.30 | 38.4 |
| 23.90 | 17.5 |
| 33.14 | 100.0 |
| 34.06 | 47.0 |
| 42.17 | 11.9 |
| 44.24 | 12.8 |
| 48.93 | 15.3 |
| 58.62 | 13.7 |
| 60.38 | 26.2 |
| 69.60 | 11.9 |

[9]
For Li3ErBr6, DFT lattice parameters and positions (PBE) gives the computed X-ray diffraction stick pattern in this record (a wavelength of 1.5418 Å).

```
data_Li3ErBr6
_space_group_name_H-M_alt 'P 1'
_space_group_IT_number 1
_space_group_name_Hall 'P 1'
_cell_length_a 6.8948
_cell_length_b 6.8948
_cell_length_c 13.2984
_cell_angle_alpha 95.14
_cell_angle_beta 95.14
_cell_angle_gamma 119.52
loop_
_atom_site_label
_atom_site_type_symbol
_atom_site_fract_x
_atom_site_fract_y
_atom_site_fract_z
_atom_site_occupancy
Li1 Li 0.0910 0.9090 0.7500 1
Li2 Li 0.1545 0.3121 0.9985 1
Li3 Li 0.3121 0.1545 0.4985 1
Li4 Li 0.6879 0.8455 0.5015 1
Li5 Li 0.8455 0.6879 0.0015 1
Li6 Li 0.9090 0.0910 0.2500 1
Er1 Er 0.0000 0.5000 0.5000 1
Er2 Er 0.5000 0.0000 0.0000 1
Br1 Br 0.0424 0.2080 0.6210 1
Br2 Br 0.1201 0.6346 0.8813 1
Br3 Br 0.2080 0.0424 0.1210 1
Br4 Br 0.2810 0.4402 0.3797 1
Br5 Br 0.3654 0.8799 0.6187 1
Br6 Br 0.4402 0.2810 0.8797 1
Br7 Br 0.5598 0.7190 0.1203 1
Br8 Br 0.6346 0.1201 0.3813 1
Br9 Br 0.7190 0.5598 0.6203 1
Br10 Br 0.7920 0.9576 0.8790 1
Br11 Br 0.8799 0.3654 0.1187 1
Br12 Br 0.9576 0.7920 0.3790 1
```

The 12 most intense peaks (2θ from 5° to 70°), in order of rising 2θ:
| Position (°2θ) | I/Imax |
| --- | --- |
| 13.53 | 23.1 |
| 14.88 | 10.2 |
| 15.43 | 24.3 |
| 17.35 | 15.0 |
| 20.16 | 12.4 |
| 27.23 | 26.1 |
| 27.44 | 21.2 |
| 31.67 | 100.0 |
| 45.16 | 11.8 |
| 45.38 | 47.7 |
| 45.69 | 11.7 |
| 56.63 | 12.2 |

[10]
For LiErBr4, DFT lattice parameters and positions (PBE) gives the computed X-ray diffraction stick pattern in this record (a wavelength of 1.5418 Å).

```
data_LiErBr4
_space_group_name_H-M_alt 'P 1'
_space_group_IT_number 1
_space_group_name_Hall 'P 1'
_cell_length_a 6.9868
_cell_length_b 4.0638
_cell_length_c 6.9914
_cell_angle_alpha 90.00
_cell_angle_beta 94.64
_cell_angle_gamma 90.00
loop_
_atom_site_label
_atom_site_type_symbol
_atom_site_fract_x
_atom_site_fract_y
_atom_site_fract_z
_atom_site_occupancy
Li1 Li 0.0000 0.0000 0.0000 1
Er1 Er 0.5000 0.5000 0.0000 1
Br1 Br 0.1844 0.5000 0.2089 1
Br2 Br 0.3250 0.0000 0.7675 1
Br3 Br 0.6750 0.0000 0.2325 1
Br4 Br 0.8156 0.5000 0.7911 1
```

The 12 most intense peaks (2θ from 5° to 70°), in order of rising 2θ:
| Position (°2θ) | I/Imax |
| --- | --- |
| 12.71 | 100.0 |
| 17.26 | 13.9 |
| 25.37 | 17.2 |
| 27.70 | 31.0 |
| 28.95 | 68.2 |
| 33.89 | 12.4 |
| 34.93 | 21.9 |
| 37.09 | 34.9 |
| 44.59 | 13.4 |
| 44.97 | 26.1 |
| 45.97 | 32.7 |
| 48.84 | 11.9 |

[11]
For Li3ErBr6, DFT lattice parameters and positions (PBE) gives the computed X-ray diffraction stick pattern in this record (a wavelength of 1.5418 Å).

```
data_Li3ErBr6
_space_group_name_H-M_alt 'P 1'
_space_group_IT_number 1
_space_group_name_Hall 'P 1'
_cell_length_a 6.9182
_cell_length_b 6.9182
_cell_length_c 6.9535
_cell_angle_alpha 99.71
_cell_angle_beta 99.71
_cell_angle_gamma 119.62
loop_
_atom_site_label
_atom_site_type_symbol
_atom_site_fract_x
_atom_site_fract_y
_atom_site_fract_z
_atom_site_occupancy
Li1 Li 0.0000 0.0000 0.0000 1
Li2 Li 0.3430 0.6570 0.0000 1
Li3 Li 0.8292 0.1708 0.5000 1
Er1 Er 0.6720 0.3280 0.0000 1
Br1 Br 0.0713 0.3921 0.2502 1
Br2 Br 0.2541 0.2472 0.7718 1
Br3 Br 0.4284 0.0649 0.2357 1
Br4 Br 0.6079 0.9287 0.7498 1
Br5 Br 0.7528 0.7459 0.2282 1
Br6 Br 0.9351 0.5716 0.7643 1
```

The 12 most intense peaks (2θ from 5° to 70°), in order of rising 2θ:
| Position (°2θ) | I/Imax |
| --- | --- |
| 13.52 | 36.8 |
| 15.41 | 36.6 |
| 17.27 | 23.1 |
| 20.11 | 18.9 |
| 27.22 | 31.7 |
| 27.33 | 31.8 |
| 31.48 | 49.9 |
| 31.65 | 100.0 |
| 45.24 | 88.3 |
| 45.51 | 17.7 |
| 56.15 | 19.2 |
| 56.38 | 18.0 |

[12]
For SrLiErBr6, DFT lattice parameters and positions (PBE) gives the computed X-ray diffraction stick pattern in this record (a wavelength of 1.5418 Å).

```
data_SrLiErBr6
_space_group_name_H-M_alt 'P 1'
_space_group_IT_number 1
_space_group_name_Hall 'P 1'
_cell_length_a 7.1213
_cell_length_b 7.1213
_cell_length_c 13.4026
_cell_angle_alpha 90.00
_cell_angle_beta 90.00
_cell_angle_gamma 120.00
loop_
_atom_site_label
_atom_site_type_symbol
_atom_site_fract_x
_atom_site_fract_y
_atom_site_fract_z
_atom_site_occupancy
Sr1 Sr 0.0000 0.0000 0.0000 1
Sr2 Sr 0.0000 0.0000 0.5000 1
Li1 Li 0.3333 0.6667 0.2500 1
Li2 Li 0.6667 0.3333 0.7500 1
Er1 Er 0.3333 0.6667 0.7500 1
Er2 Er 0.6667 0.3333 0.2500 1
Br1 Br 0.0011 0.3572 0.1325 1
Br2 Br 0.0011 0.6439 0.3675 1
Br3 Br 0.3561 0.3572 0.3675 1
Br4 Br 0.3561 0.9989 0.1325 1
Br5 Br 0.3572 0.0011 0.6325 1
Br6 Br 0.3572 0.3561 0.8675 1
Br7 Br 0.6428 0.6439 0.1325 1
Br8 Br 0.6428 0.9989 0.3675 1
Br9 Br 0.6439 0.0011 0.8675 1
Br10 Br 0.6439 0.6428 0.6325 1
Br11 Br 0.9989 0.3561 0.6325 1
Br12 Br 0.9989 0.6428 0.8675 1
```

The 12 most intense peaks (2θ from 5° to 70°), in order of rising 2θ:
| Position (°2θ) | I/Imax |
| --- | --- |
| 15.82 | 41.8 |
| 19.56 | 43.9 |
| 24.61 | 15.5 |
| 28.38 | 100.0 |
| 29.73 | 9.8 |
| 31.95 | 11.2 |
| 36.83 | 70.6 |
| 40.99 | 16.5 |
| 44.05 | 43.4 |
| 48.08 | 23.5 |
| 53.24 | 14.7 |
| 58.73 | 16.5 |